Entry 1:
Starting from a cell relaxed with GGA-PBE, the powder XRD pattern of Pr2Nd2Sm2Mg was simulated for Cu Kα X-rays.
No peak broadening, texture or thermal motion is included.

Largest 8 diffraction maxima, by intensity, 5° ≤ 2θ ≤ 70°:
2θ 32.4, d = 2.767 Å, I 100
2θ 30.1, d = 2.965 Å, I 86
2θ 30.3, d = 2.953 Å, I 81
2θ 34.6, d = 2.596 Å, I 71
2θ 33.6, d = 2.667 Å, I 50
2θ 26.2, d = 3.397 Å, I 42
2θ 51.7, d = 1.768 Å, I 36
2θ 28.3, d = 3.153 Å, I 33

Atomic structure:
```
data_Pr2Nd2Sm2Mg
_cell_length_a 11.909
_cell_length_b 3.569
_cell_length_c 11.986
_cell_angle_alpha 90.00
_cell_angle_beta 111.49
_cell_angle_gamma 90.00
_space_group_name_H-M_alt 'C 1 2/m 1'
_space_group_IT_number 12
_space_group_name_Hall '-C 2y'
loop_
_atom_site_label
_atom_site_type_symbol
_atom_site_fract_x
_atom_site_fract_y
_atom_site_fract_z
Pr1 Pr 0.048 0.000 0.263
Nd1 Nd 0.236 0.500 0.864
Sm1 Sm 0.169 0.000 0.584
Mg1 Mg 0.000 0.500 0.000
```

=====

Entry 2:
Starting from a cell relaxed with GGA-PBE, the powder XRD pattern of Pr2Nd2SmMg was simulated for Cu Kα X-rays.
No peak broadening, texture or thermal motion is included.

Largest 8 diffraction maxima, by intensity, 5° ≤ 2θ ≤ 70°:
2θ 29.7, d = 3.010 Å, I 100
2θ 33.8, d = 2.648 Å, I 74
2θ 38.4, d = 2.343 Å, I 74
2θ 29.3, d = 3.048 Å, I 60
2θ 19.4, d = 4.572 Å, I 38
2θ 29.2, d = 3.061 Å, I 37
2θ 49.9, d = 1.827 Å, I 28
2θ 27.5, d = 3.249 Å, I 25

Atomic structure:
```
data_Pr2Nd2SmMg
_cell_length_a 6.913
_cell_length_b 18.287
_cell_length_c 6.497
_cell_angle_alpha 90.00
_cell_angle_beta 90.00
_cell_angle_gamma 90.00
_space_group_name_H-M_alt 'I b a m'
_space_group_IT_number 72
_space_group_name_Hall '-I 2 2c'
loop_
_atom_site_label
_atom_site_type_symbol
_atom_site_fract_x
_atom_site_fract_y
_atom_site_fract_z
Pr1 Pr 0.151 0.154 0.000
Nd1 Nd 0.156 0.348 0.000
Sm1 Sm 0.000 0.500 0.250
Mg1 Mg 0.000 0.000 0.250
```

=====

Entry 3:
Starting from a cell relaxed with GGA-PBE, the powder XRD pattern of Pr4Nd2Sm2Mg was simulated for Cu Kα X-rays.
No peak broadening, texture or thermal motion is included.

Largest 8 diffraction maxima, by intensity, 5° ≤ 2θ ≤ 70°:
2θ 30.9, d = 2.892 Å, I 100
2θ 31.7, d = 2.821 Å, I 55
2θ 30.3, d = 2.946 Å, I 53
2θ 30.0, d = 2.976 Å, I 49
2θ 31.5, d = 2.837 Å, I 47
2θ 46.4, d = 1.958 Å, I 17
2θ 42.1, d = 2.145 Å, I 16
2θ 44.3, d = 2.046 Å, I 16

Atomic structure:
```
data_Pr4Nd2Sm2Mg
_cell_length_a 5.960
_cell_length_b 6.782
_cell_length_c 8.814
_cell_angle_alpha 80.90
_cell_angle_beta 71.40
_cell_angle_gamma 66.47
_space_group_name_H-M_alt 'P -1'
_space_group_IT_number 2
_space_group_name_Hall '-P 1'
loop_
_atom_site_label
_atom_site_type_symbol
_atom_site_fract_x
_atom_site_fract_y
_atom_site_fract_z
Pr1 Pr 0.213 0.484 0.118
Pr2 Pr 0.276 0.692 0.672
Nd1 Nd 0.431 0.887 0.210
Sm1 Sm 0.174 0.227 0.534
Mg1 Mg 0.000 0.000 0.000
```

=====

Entry 4:
Starting from a cell relaxed with GGA-PBE, the powder XRD pattern of Tb4PrNd2Mg was simulated for Cu Kα X-rays.
No peak broadening, texture or thermal motion is included.

Largest 8 diffraction maxima, by intensity, 5° ≤ 2θ ≤ 70°:
2θ 30.6, d = 2.919 Å, I 100
2θ 50.9, d = 1.795 Å, I 24
2θ 34.9, d = 2.569 Å, I 18
2θ 35.7, d = 2.512 Å, I 17
2θ 35.9, d = 2.505 Å, I 16
2θ 60.0, d = 1.542 Å, I 15
2θ 61.1, d = 1.517 Å, I 14
2θ 61.2, d = 1.514 Å, I 14

Atomic structure:
```
data_Tb4PrNd2Mg
_cell_length_a 5.009
_cell_length_b 5.024
_cell_length_c 10.274
_cell_angle_alpha 90.00
_cell_angle_beta 90.00
_cell_angle_gamma 90.00
_space_group_name_H-M_alt 'P m m m'
_space_group_IT_number 47
_space_group_name_Hall '-P 2 2'
loop_
_atom_site_label
_atom_site_type_symbol
_atom_site_fract_x
_atom_site_fract_y
_atom_site_fract_z
Tb1 Tb 0.000 0.000 0.246
Tb2 Tb 0.500 0.500 0.246
Pr1 Pr 0.000 0.500 0.500
Nd1 Nd 0.000 0.500 0.000
Nd2 Nd 0.500 0.000 0.500
Mg1 Mg 0.500 0.000 0.000
```

=====

Entry 5:
Starting from a cell relaxed with GGA-PBE, the powder XRD pattern of Tb2Pr4Nd2Mg was simulated for Cu Kα X-rays.
No peak broadening, texture or thermal motion is included.

Largest 8 diffraction maxima, by intensity, 5° ≤ 2θ ≤ 70°:
2θ 31.2, d = 2.865 Å, I 100
2θ 30.4, d = 2.936 Å, I 54
2θ 31.6, d = 2.831 Å, I 51
2θ 30.1, d = 2.970 Å, I 49
2θ 31.5, d = 2.842 Å, I 48
2θ 56.6, d = 1.627 Å, I 19
2θ 54.4, d = 1.687 Å, I 18
2θ 43.8, d = 2.066 Å, I 18

Atomic structure:
```
data_Tb2Pr4Nd2Mg
_cell_length_a 5.942
_cell_length_b 6.817
_cell_length_c 8.813
_cell_angle_alpha 80.28
_cell_angle_beta 70.89
_cell_angle_gamma 65.29
_space_group_name_H-M_alt 'P -1'
_space_group_IT_number 2
_space_group_name_Hall '-P 1'
loop_
_atom_site_label
_atom_site_type_symbol
_atom_site_fract_x
_atom_site_fract_y
_atom_site_fract_z
Tb1 Tb 0.174 0.228 0.034
Pr1 Pr 0.215 0.481 0.619
Pr2 Pr 0.429 0.884 0.714
Nd1 Nd 0.272 0.694 0.170
Mg1 Mg 0.000 0.000 0.500
```

=====

Entry 6:
Starting from a cell relaxed with GGA-PBE, the powder XRD pattern of Pr4Nd2Y2Mg was simulated for Cu Kα X-rays.
No peak broadening, texture or thermal motion is included.

Largest 8 diffraction maxima, by intensity, 5° ≤ 2θ ≤ 70°:
2θ 31.3, d = 2.854 Å, I 100
2θ 31.0, d = 2.881 Å, I 45
2θ 31.2, d = 2.869 Å, I 45
2θ 31.8, d = 2.811 Å, I 44
2θ 37.8, d = 2.379 Å, I 28
2θ 26.8, d = 3.324 Å, I 22
2θ 27.9, d = 3.199 Å, I 22
2θ 39.9, d = 2.257 Å, I 21

Atomic structure:
```
data_Pr4Nd2Y2Mg
_cell_length_a 6.570
_cell_length_b 7.145
_cell_length_c 7.518
_cell_angle_alpha 88.88
_cell_angle_beta 76.90
_cell_angle_gamma 64.65
_space_group_name_H-M_alt 'P -1'
_space_group_IT_number 2
_space_group_name_Hall '-P 1'
loop_
_atom_site_label
_atom_site_type_symbol
_atom_site_fract_x
_atom_site_fract_y
_atom_site_fract_z
Pr1 Pr 0.014 0.324 0.336
Pr2 Pr 0.465 0.611 0.810
Nd1 Nd 0.418 0.836 0.407
Y1 Y 0.036 0.155 0.815
Mg1 Mg 0.500 0.000 0.000
```

=====

Entry 7:
Starting from a cell relaxed with GGA-PBE, the powder XRD pattern of Pr2Nd4Y2Mg was simulated for Cu Kα X-rays.
No peak broadening, texture or thermal motion is included.

Largest 8 diffraction maxima, by intensity, 5° ≤ 2θ ≤ 70°:
2θ 30.8, d = 2.906 Å, I 100
2θ 31.2, d = 2.869 Å, I 84
2θ 31.9, d = 2.803 Å, I 42
2θ 44.9, d = 2.019 Å, I 22
2θ 28.1, d = 3.175 Å, I 21
2θ 56.4, d = 1.631 Å, I 15
2θ 10.1, d = 8.736 Å, I 15
2θ 55.3, d = 1.661 Å, I 14

Atomic structure:
```
data_Pr2Nd4Y2Mg
_cell_length_a 5.605
_cell_length_b 6.793
_cell_length_c 8.943
_cell_angle_alpha 101.22
_cell_angle_beta 90.05
_cell_angle_gamma 114.33
_space_group_name_H-M_alt 'P -1'
_space_group_IT_number 2
_space_group_name_Hall '-P 1'
loop_
_atom_site_label
_atom_site_type_symbol
_atom_site_fract_x
_atom_site_fract_y
_atom_site_fract_z
Pr1 Pr 0.085 0.170 0.373
Nd1 Nd 0.293 0.587 0.715
Nd2 Nd 0.393 0.787 0.317
Y1 Y 0.149 0.297 0.001
Mg1 Mg 0.500 0.000 0.000
```

=====

Entry 8:
Starting from a cell relaxed with GGA-PBE, the powder XRD pattern of Pr2Nd4YMg was simulated for Cu Kα X-rays.
No peak broadening, texture or thermal motion is included.

Largest 8 diffraction maxima, by intensity, 5° ≤ 2θ ≤ 70°:
2θ 30.2, d = 2.955 Å, I 100
2θ 35.2, d = 2.550 Å, I 33
2θ 60.1, d = 1.539 Å, I 28
2θ 50.3, d = 1.813 Å, I 24
2θ 34.8, d = 2.578 Å, I 17
2θ 59.6, d = 1.552 Å, I 14
2θ 62.9, d = 1.478 Å, I 12
2θ 50.6, d = 1.803 Å, I 12

Atomic structure:
```
data_Pr2Nd4YMg
_cell_length_a 5.100
_cell_length_b 5.100
_cell_length_c 10.312
_cell_angle_alpha 90.00
_cell_angle_beta 90.00
_cell_angle_gamma 90.00
_space_group_name_H-M_alt 'P 4/m m m'
_space_group_IT_number 123
_space_group_name_Hall '-P 4 2'
loop_
_atom_site_label
_atom_site_type_symbol
_atom_site_fract_x
_atom_site_fract_y
_atom_site_fract_z
Pr1 Pr 0.000 0.000 0.000
Pr2 Pr 0.500 0.500 0.500
Nd1 Nd 0.000 0.500 0.247
Y1 Y 0.000 0.000 0.500
Mg1 Mg 0.500 0.500 0.000
```